# 1
Tb2B6Ru: theoretical powder diffractogram (Cu Kα), based on a DFT-relaxed cell (PBE, the Materials Project).

The 10 most intense peaks (10° ≤ 2θ ≤ 80°), low angle first:
| hkl | d (Å) | Rel. int. |
| --- | --- | --- |
| 0 0 1 | 3.687 | 100 |
| 3 1 0 | 2.954 | 75 |
| 0 4 0 | 2.886 | 26 |
| 1 4 0 | 2.754 | 25 |
| 3 2 0 | 2.704 | 26 |
| 3 1 1 | 2.305 | 94 |
| 0 4 1 | 2.273 | 33 |
| 1 4 1 | 2.206 | 32 |
| 3 2 1 | 2.180 | 34 |
| 0 0 2 | 1.844 | 28 |

Atomic structure:
a = 9.1812 Å, b = 11.5455 Å, c = 3.6870 Å
α = 90.00°, β = 90.00°, γ = 90.00°
Space group Pbam (No. 55)
Unique sites:
1 Tb 0.0559 0.1274 0.0000 x4
2 Tb 0.1769 0.4139 0.0000 x4
3 B 0.0151 0.2870 0.5000 x4
4 B 0.0542 0.5675 0.5000 x4
5 B 0.1121 0.9692 0.5000 x4
6 B 0.1326 0.8146 0.5000 x4
7 B 0.2096 0.2329 0.5000 x4
8 B 0.2474 0.5801 0.5000 x4
9 Ru 0.1382 0.6788 0.0000 x4

---

# 2
Y2MgSe4: theoretical powder diffractogram (Cu Kα), based on a DFT-relaxed cell (PBE, the Materials Project).

The 10 most intense peaks (10° ≤ 2θ ≤ 80°), low angle first:
| hkl | d (Å) | Rel. int. |
| --- | --- | --- |
| 0 0 3 | 4.544 | 63 |
| 1 2 1 | 3.735 | 42 |
| 2 0 1 | 3.689 | 100 |
| 0 0 4 | 3.407 | 33 |
| 1 -2 2 | 3.161 | 39 |
| 1 2 -2 | 3.024 | 47 |
| 2 0 4 | 2.643 | 30 |
| 0 4 1 | 2.169 | 43 |
| 3 2 1 | 2.163 | 86 |
| 2 0 6 | 2.027 | 54 |

Atomic structure:
a = 7.4877 Å, b = 8.6779 Å, c = 13.8705 Å
α = 80.83°, β = 84.60°, γ = 89.98°
Space group P-1 (No. 2)
Unique sites:
1 Y 0.1315 0.4442 0.2008 x2
2 Y 0.1322 0.9557 0.1976 x2
3 Y 0.2587 0.1260 0.4994 x2
4 Y 0.3638 0.3004 0.8005 x2
5 Mg 0.2513 0.6234 0.5031 x2
6 Mg 0.3671 0.8005 0.7978 x2
7 Se 0.0959 0.4069 0.3988 x2
8 Se 0.1050 0.8955 0.3964 x2
9 Se 0.1940 0.5423 0.8737 x2
10 Se 0.1955 0.0207 0.8744 x2
11 Se 0.3107 0.7190 0.1222 x2
12 Se 0.3286 0.2192 0.1251 x2
13 Se 0.3925 0.8431 0.6092 x2
14 Se 0.4056 0.3553 0.6022 x2

---

# 3
Mg5Si9: theoretical powder diffractogram (Cu Kα), based on a DFT-relaxed cell (PBE, the Materials Project).

The 10 most intense peaks (10° ≤ 2θ ≤ 80°), low angle first:
| hkl | d (Å) | Rel. int. |
| --- | --- | --- |
| 1 2 -1 | 2.503 | 47 |
| -2 1 3 | 2.492 | 89 |
| 0 2 3 | 2.431 | 70 |
| 1 1 -5 | 2.424 | 46 |
| 2 0 1 | 2.393 | 95 |
| 1 -2 4 | 2.382 | 81 |
| 0 1 5 | 2.298 | 100 |
| -1 3 1 | 2.264 | 65 |
| 2 0 2 | 2.205 | 83 |
| 1 1 -6 | 2.117 | 54 |

Atomic structure:
a = 5.4954 Å, b = 7.0909 Å, c = 13.5904 Å
α = 96.85°, β = 100.56°, γ = 107.86°
Space group P1 (No. 1)
Unique sites:
1 Mg 0.0000 0.0000 0.0000 x1
2 Mg 0.0090 0.4091 0.9494 x1
3 Mg 0.1604 0.4474 0.7176 x1
4 Mg 0.3710 0.1024 0.2190 x1
5 Mg 0.4157 0.6778 0.5200 x1
6 Mg 0.4341 0.7881 0.0846 x1
7 Mg 0.4440 0.2180 0.5766 x1
8 Mg 0.5632 0.5552 0.9229 x1
9 Mg 0.9206 0.3166 0.1618 x1
10 Mg 0.9424 0.8625 0.4429 x1
11 Si 0.1482 0.1340 0.8286 x1
12 Si 0.1679 0.7053 0.2919 x1
13 Si 0.1718 0.7679 0.8631 x1
14 Si 0.1997 0.2588 0.3793 x1
15 Si 0.2175 0.8758 0.6576 x1
16 Si 0.4179 0.3850 0.0969 x1
17 Si 0.4719 0.5152 0.2822 x1
18 Si 0.5078 0.0093 0.4022 x1
19 Si 0.5426 0.1180 0.9784 x1
20 Si 0.5827 0.2501 0.7826 x1
21 Si 0.5893 0.8778 0.8028 x1
22 Si 0.7368 0.5991 0.7356 x1
23 Si 0.8208 0.9779 0.2594 x1
24 Si 0.8511 0.0104 0.6514 x1
25 Si 0.8630 0.5632 0.5543 x1
26 Si 0.8754 0.4593 0.3649 x1
27 Si 0.9268 0.2381 0.5212 x1
28 Si 0.9361 0.7329 0.1280 x1

---

# 4
MgZr: theoretical powder diffractogram (Cu Kα), based on a DFT-relaxed cell (PBE, the Materials Project).

The 10 most intense peaks (10° ≤ 2θ ≤ 80°), low angle first:
| hkl | d (Å) | Rel. int. |
| --- | --- | --- |
| 0 0 3 | 5.528 | 78 |
| 0 0 6 | 2.764 | 43 |
| 1 0 1 | 2.622 | 36 |
| 0 1 2 | 2.529 | 100 |
| 1 0 4 | 2.236 | 69 |
| 0 1 5 | 2.073 | 18 |
| 0 1 8 | 1.634 | 25 |
| 1 1 0 | 1.533 | 20 |
| 1 1 6 | 1.341 | 25 |
| 2 0 2 | 1.311 | 16 |

Atomic structure:
a = 3.0658 Å, b = 3.0658 Å, c = 16.5852 Å
α = 90.00°, β = 90.00°, γ = 120.00°
Space group R-3m (No. 166, hexagonal axes)
Unique sites:
1 Mg 0.0000 0.0000 0.0000 x3
2 Zr 0.0000 0.0000 0.5000 x3

---

# 5
TbCdAg2: theoretical powder diffractogram (Cu Kα), based on a DFT-relaxed cell (PBE, the Materials Project).

The 8 most intense peaks (10° ≤ 2θ ≤ 80°), low angle first:
| hkl | d (Å) | Rel. int. |
| --- | --- | --- |
| 1 1 1 | 4.059 | 2 |
| 2 0 0 | 3.515 | 1 |
| 2 2 0 | 2.486 | 100 |
| 3 1 1 | 2.120 | 1 |
| 4 0 0 | 1.758 | 17 |
| 4 2 0 | 1.572 | 1 |
| 4 2 2 | 1.435 | 34 |
| 4 4 0 | 1.243 | 11 |

Atomic structure:
a = 7.0305 Å, b = 7.0305 Å, c = 7.0305 Å
α = 90.00°, β = 90.00°, γ = 90.00°
Space group Fm-3m (No. 225)
Unique sites:
1 Tb 0.0000 0.0000 0.0000 x4
2 Cd 0.0000 0.0000 0.5000 x4
3 Ag 0.2500 0.2500 0.2500 x8

---

# 6
U4Ga12Rh: theoretical powder diffractogram (Cu Kα), based on a DFT-relaxed cell (PBE, the Materials Project).

The 10 most intense peaks (10° ≤ 2θ ≤ 80°), low angle first:
| hkl | d (Å) | Rel. int. |
| --- | --- | --- |
| 2 0 0 | 4.309 | 26 |
| 2 2 0 | 3.047 | 56 |
| 2 2 2 | 2.488 | 100 |
| 4 0 0 | 2.154 | 62 |
| 4 2 0 | 1.927 | 17 |
| 4 2 2 | 1.759 | 20 |
| 4 4 0 | 1.523 | 38 |
| 6 2 0 | 1.363 | 14 |
| 6 2 2 | 1.299 | 34 |
| 4 4 4 | 1.244 | 12 |

Atomic structure:
a = 8.6179 Å, b = 8.6179 Å, c = 8.6179 Å
α = 90.00°, β = 90.00°, γ = 90.00°
Space group Im-3m (No. 229)
Unique sites:
1 U 0.2500 0.2500 0.2500 x8
2 Ga 0.0000 0.0000 0.2911 x12
3 Ga 0.0000 0.2500 0.5000 x12
4 Rh 0.0000 0.0000 0.0000 x2

---

# 7
Tb2AlFe3: theoretical powder diffractogram (Cu Kα), based on a DFT-relaxed cell (PBE, the Materials Project).

The 10 most intense peaks (10° ≤ 2θ ≤ 80°), low angle first:
| hkl | d (Å) | Rel. int. |
| --- | --- | --- |
| 1 0 1 | 4.268 | 32 |
| 1 1 0 | 2.616 | 40 |
| 1 0 4 | 2.604 | 59 |
| 0 2 1 | 2.228 | 100 |
| 0 1 5 | 2.219 | 32 |
| 2 0 2 | 2.134 | 12 |
| 2 1 4 | 1.508 | 22 |
| 1 2 5 | 1.422 | 28 |
| 2 2 0 | 1.308 | 14 |
| 2 0 8 | 1.302 | 14 |

Atomic structure:
a = 5.2314 Å, b = 5.2314 Å, c = 12.7278 Å
α = 90.00°, β = 90.00°, γ = 120.00°
Space group R-3m (No. 166, hexagonal axes)
Unique sites:
1 Tb 0.0000 0.0000 0.1227 x6
2 Al 0.0000 0.0000 0.5000 x3
3 Fe 0.0000 0.5000 0.0000 x9

---

# 8
NaNp3: theoretical powder diffractogram (Cu Kα), based on a DFT-relaxed cell (PBE, the Materials Project).

The 10 most intense peaks (10° ≤ 2θ ≤ 80°), low angle first:
| hkl | d (Å) | Rel. int. |
| --- | --- | --- |
| 1 0 1 | 4.105 | 25 |
| 1 1 2 | 2.622 | 100 |
| 2 0 0 | 2.332 | 36 |
| 0 0 4 | 2.162 | 15 |
| 2 1 1 | 2.028 | 8 |
| 2 2 0 | 1.649 | 13 |
| 2 0 4 | 1.585 | 22 |
| 3 1 2 | 1.396 | 30 |
| 1 1 6 | 1.321 | 12 |
| 2 2 4 | 1.311 | 12 |

Atomic structure:
a = 4.6642 Å, b = 4.6642 Å, c = 8.6473 Å
α = 90.00°, β = 90.00°, γ = 90.00°
Space group I4/mmm (No. 139)
Unique sites:
1 Na 0.0000 0.0000 0.0000 x2
2 Np 0.0000 0.0000 0.5000 x2
3 Np 0.0000 0.5000 0.2500 x4